[1]
Diffraction record for PaCu17Ag. The powder diffraction line list is calculated, not measured: it uses a DFT-relaxed cell (PBE, Alexandria) and λ = 1.5418 Å (Cu Kα).
Neutral-atom scattering factors, no anomalous dispersion.

The 8 most intense peaks (2θ from 5° to 70°), by angle:
d (Å)	two_theta	intensity
2.960	30.19	32
2.436	36.90	42
2.371	37.95	27
2.109	42.87	56
2.101	43.05	100
2.077	43.57	30
2.059	43.97	17
1.881	48.39	21

Cell and atoms:
Unit cell a=6.4024 b=6.4024 c=6.4024 alpha=82.44 beta=82.44 gamma=82.44
Atoms (fractional coordinates):
Pa: 0.0000 0.0000 0.0000
Cu: 0.0147 0.0147 0.4983
Cu: 0.0147 0.4983 0.0147
Cu: 0.1582 0.6687 0.6687
Cu: 0.3163 0.3163 0.8070
Cu: 0.3163 0.8070 0.3163
Cu: 0.3627 0.6602 0.9651
Cu: 0.3627 0.9651 0.6602
Cu: 0.4983 0.0147 0.0147
Cu: 0.5593 0.5593 0.5593
Cu: 0.6602 0.3627 0.9651
Cu: 0.6602 0.9651 0.3627
Cu: 0.6687 0.1582 0.6687
Cu: 0.6687 0.6687 0.1582
Cu: 0.7560 0.7560 0.7560
Cu: 0.8070 0.3163 0.3163
Cu: 0.9651 0.3627 0.6602
Cu: 0.9651 0.6602 0.3627
Ag: 0.3217 0.3217 0.3217

[2]
Diffraction record for PaCuAgPt. The powder diffraction line list is calculated, not measured: it uses a DFT-relaxed cell (PBE, Alexandria) and λ = 1.5418 Å (Cu Kα).
Neutral-atom scattering factors, no anomalous dispersion.

The 8 most intense peaks (2θ from 5° to 70°), by angle:
d (Å)	two_theta	intensity
3.876	22.94	18
3.357	26.55	2
2.374	37.90	100
2.024	44.77	10
1.678	54.68	17
1.540	60.07	5
1.501	61.80	1
1.370	68.46	35

Cell and atoms:
Unit cell a=6.7139 b=6.7139 c=6.7139 alpha=90.00 beta=90.00 gamma=90.00
Atoms (fractional coordinates):
Pa: 0.0000 0.0000 0.0000
Pa: 0.0000 0.5000 0.5000
Pa: 0.5000 0.0000 0.5000
Pa: 0.5000 0.5000 0.0000
Cu: 0.2500 0.2500 0.7500
Cu: 0.2500 0.7500 0.2500
Cu: 0.7500 0.2500 0.2500
Cu: 0.7500 0.7500 0.7500
Ag: 0.0000 0.0000 0.5000
Ag: 0.0000 0.5000 0.0000
Ag: 0.5000 0.0000 0.0000
Ag: 0.5000 0.5000 0.5000
Pt: 0.2500 0.2500 0.2500
Pt: 0.2500 0.7500 0.7500
Pt: 0.7500 0.2500 0.7500
Pt: 0.7500 0.7500 0.2500

[3]
Diffraction record for PaCu2Ag2Se4. The powder diffraction line list is calculated, not measured: it uses a DFT-relaxed cell (PBE, Alexandria) and λ = 1.5418 Å (Cu Kα).
Neutral-atom scattering factors, no anomalous dispersion.

The 8 most intense peaks (2θ from 5° to 70°), by angle:
d (Å)	two_theta	intensity
6.843	12.94	27
6.759	13.10	60
3.115	28.66	47
2.796	32.01	58
2.451	36.67	25
2.362	38.09	100
2.249	40.09	62
2.017	44.94	36

Cell and atoms:
Unit cell a=7.6453 b=7.6453 c=8.1287 alpha=121.37 beta=121.37 gamma=30.59
Atoms (fractional coordinates):
Pa: 0.0000 0.0000 0.0000
Cu: 0.3196 0.3196 0.0116
Cu: 0.6804 0.6804 0.9884
Ag: 0.1689 0.1689 0.4949
Ag: 0.8311 0.8311 0.5051
Se: 0.2322 0.2322 0.2056
Se: 0.4885 0.4885 0.7396
Se: 0.5115 0.5115 0.2604
Se: 0.7678 0.7678 0.7944

[4]
Diffraction record for CuAgSb2Pb2. The powder diffraction line list is calculated, not measured: it uses a DFT-relaxed cell (PBE, Alexandria) and λ = 1.5418 Å (Cu Kα).
Neutral-atom scattering factors, no anomalous dispersion.

The 8 most intense peaks (2θ from 5° to 70°), by angle:
d (Å)	two_theta	intensity
3.327	26.80	39
3.305	26.98	41
2.858	31.30	68
2.445	36.76	79
2.436	36.89	81
2.345	38.39	100
1.682	54.54	32
1.369	68.56	47

Cell and atoms:
Unit cell a=8.6010 b=8.6010 c=8.6010 alpha=134.49 beta=66.08 gamma=134.80
Atoms (fractional coordinates):
Cu: 0.2500 0.2500 0.0000
Cu: 0.7500 0.7500 0.0000
Ag: 0.2500 0.7500 0.5000
Ag: 0.7500 0.2500 0.5000
Sb: 0.1132 0.2251 0.3383
Sb: 0.3868 0.7251 0.1120
Sb: 0.6132 0.2749 0.8880
Sb: 0.8868 0.7749 0.6617
Pb: 0.1568 0.7467 0.9035
Pb: 0.3432 0.2467 0.5898
Pb: 0.6568 0.7533 0.4102
Pb: 0.8432 0.2533 0.0965

[5]
Diffraction record for CuAgPbSe2. The powder diffraction line list is calculated, not measured: it uses a DFT-relaxed cell (PBE, Alexandria) and λ = 1.5418 Å (Cu Kα).
Neutral-atom scattering factors, no anomalous dispersion.

The 8 most intense peaks (2θ from 5° to 70°), by angle:
d (Å)	two_theta	intensity
3.604	24.70	31
3.519	25.31	29
3.303	27.00	100
2.837	31.53	94
2.574	34.86	46
2.208	40.88	53
2.101	43.05	30
1.420	65.77	27

Cell and atoms:
Unit cell a=7.1504 b=4.5995 c=7.6729 alpha=90.00 beta=100.21 gamma=90.00
Atoms (fractional coordinates):
Cu: 0.0000 0.0000 0.0000
Cu: 0.0000 0.0000 0.5000
Ag: 0.0000 0.4974 0.2500
Ag: 0.0000 0.5026 0.7500
Pb: 0.5000 0.1681 0.7500
Pb: 0.5000 0.8319 0.2500
Se: 0.2614 0.2948 0.0422
Se: 0.2614 0.7052 0.5422
Se: 0.7386 0.2948 0.4578
Se: 0.7386 0.7052 0.9578

[6]
Diffraction record for Cu5Ag2Pd5. The powder diffraction line list is calculated, not measured: it uses a DFT-relaxed cell (PBE, Alexandria) and λ = 1.5418 Å (Cu Kα).
Neutral-atom scattering factors, no anomalous dispersion.

The 8 most intense peaks (2θ from 5° to 70°), by angle:
d (Å)	two_theta	intensity
2.239	40.28	100
2.230	40.45	99
1.975	45.96	34
1.955	46.46	32
1.880	48.42	29
1.394	67.17	10
1.385	67.66	10
1.362	68.97	19

Cell and atoms:
Unit cell a=4.6750 b=4.7795 c=9.0392 alpha=80.50 beta=87.33 gamma=61.03
Atoms (fractional coordinates):
Cu: 0.0000 0.0000 0.0000
Cu: 0.3298 0.8478 0.5015
Cu: 0.3363 0.0867 0.7472
Cu: 0.6637 0.9133 0.2528
Cu: 0.6702 0.1522 0.4985
Ag: 0.3349 0.5793 0.2538
Ag: 0.6651 0.4207 0.7462
Pd: 0.0000 0.5000 0.5000
Pd: 0.0014 0.2315 0.2533
Pd: 0.3348 0.3234 0.9995
Pd: 0.6652 0.6766 0.0005
Pd: 0.9986 0.7685 0.7467